(1)
For Sr4Cu3ClO6, a DFT-relaxed cell (GGA-PBE, Alexandria) gives the computed XRD peak list in this record (Cu Kα).

The 6 most intense peaks (2θ from 5° to 70°), by angle:
16.28 deg, intensity 8
32.91 deg, intensity 100
40.59 deg, intensity 5
47.23 deg, intensity 26
58.76 deg, intensity 36
69.01 deg, intensity 15

Structural model:
```
Sr4Cu3ClO6
1.0
-3.8493 3.8493 3.8493
3.8493 -3.8493 3.8493
3.8493 3.8493 -3.8493
Sr Cu Cl O
4 3 1 6
direct
0.0000 0.0000 0.5000
0.0000 0.5000 0.0000
0.5000 0.0000 0.0000
0.5000 0.5000 0.5000
0.0000 0.5000 0.5000
0.5000 0.0000 0.5000
0.5000 0.5000 0.0000
0.0000 0.0000 0.0000
0.2500 0.5000 0.7500
0.2500 0.7500 0.5000
0.5000 0.2500 0.7500
0.5000 0.7500 0.2500
0.7500 0.2500 0.5000
0.7500 0.5000 0.2500
```

***

(2)
For YCu6ClO8, a DFT-relaxed cell (GGA-PBE, Alexandria) gives the computed XRD peak list in this record (Cu Kα).

The 6 most intense peaks (2θ from 5° to 70°), by angle:
16.54 deg, intensity 15
33.43 deg, intensity 100
38.80 deg, intensity 31
42.44 deg, intensity 8
56.03 deg, intensity 43
66.84 deg, intensity 36

Structural model:
```
YCu6ClO8
1.0
0.0000 4.6420 4.6420
4.6420 0.0000 4.6420
4.6420 4.6420 0.0000
Y Cu Cl O
1 6 1 8
direct
0.0000 0.0000 0.0000
0.0000 0.0000 0.5000
0.0000 0.5000 0.0000
0.0000 0.5000 0.5000
0.5000 0.0000 0.0000
0.5000 0.0000 0.5000
0.5000 0.5000 0.0000
0.5000 0.5000 0.5000
0.1445 0.1445 0.1445
0.1445 0.1445 0.5664
0.1445 0.5664 0.1445
0.4336 0.8555 0.8555
0.5664 0.1445 0.1445
0.8555 0.4336 0.8555
0.8555 0.8555 0.4336
0.8555 0.8555 0.8555
```

***

(3)
For CuPCl3, a DFT-relaxed cell (GGA-PBE, Alexandria) gives the computed XRD peak list in this record (Cu Kα).

The 6 most intense peaks (2θ from 5° to 70°), by angle:
16.22 deg, intensity 37
17.16 deg, intensity 65
20.20 deg, intensity 100
20.54 deg, intensity 37
27.59 deg, intensity 75
31.28 deg, intensity 48

Structural model:
```
CuPCl3
1.0
6.0839 -8.7932 0.0000
6.0839 8.7932 0.0000
-2.4846 0.0000 5.0836
Cu P Cl
4 4 12
direct
0.0940 0.9060 0.7500
0.3447 0.6553 0.2500
0.6553 0.3447 0.7500
0.9060 0.0940 0.2500
0.2915 0.5139 0.7392
0.4861 0.7085 0.7608
0.5139 0.2915 0.2392
0.7085 0.4861 0.2608
0.0460 0.2424 0.6321
0.1650 0.6150 0.8401
0.2177 0.4480 0.3156
0.2424 0.0460 0.1321
0.3850 0.8350 0.6599
0.4480 0.2177 0.8156
0.5520 0.7823 0.1844
0.6150 0.1650 0.3401
0.7576 0.9540 0.8679
0.7823 0.5520 0.6844
0.8350 0.3850 0.1599
0.9540 0.7576 0.3679
```

***

(4)
For Cu4PCl, a DFT-relaxed cell (GGA-PBE, Alexandria) gives the computed XRD peak list in this record (Cu Kα).

The 6 most intense peaks (2θ from 5° to 70°), by angle:
13.21 deg, intensity 100
22.04 deg, intensity 37
34.80 deg, intensity 63
37.18 deg, intensity 25
45.12 deg, intensity 28
45.62 deg, intensity 34

Structural model:
```
Cu4PCl
1.0
13.4067 0.0000 0.0000
0.0000 6.9856 0.0000
0.0000 0.0000 4.9401
Cu P Cl
16 4 4
direct
0.1274 0.2491 0.0000
0.1328 0.7497 0.5039
0.2481 0.4431 0.6658
0.2485 0.0555 0.6658
0.2515 0.5555 0.1658
0.2519 0.9431 0.1658
0.3672 0.2497 0.0039
0.3726 0.7491 0.5000
0.6274 0.2509 0.0000
0.6328 0.7503 0.5039
0.7481 0.0569 0.6658
0.7485 0.4445 0.6658
0.7515 0.9445 0.1658
0.7519 0.5569 0.1658
0.8672 0.2503 0.0039
0.8726 0.7509 0.5000
0.2461 0.2493 0.3047
0.2539 0.7493 0.8047
0.7461 0.2507 0.3047
0.7539 0.7507 0.8047
0.0031 0.7505 0.2334
0.4969 0.2505 0.7334
0.5031 0.7495 0.2334
0.9969 0.2495 0.7334
```

***

(5)
For CuP4Se3Cl, a DFT-relaxed cell (GGA-PBE, Alexandria) gives the computed XRD peak list in this record (Cu Kα).

The 6 most intense peaks (2θ from 5° to 70°), by angle:
17.69 deg, intensity 78
20.38 deg, intensity 100
26.05 deg, intensity 77
28.04 deg, intensity 76
29.05 deg, intensity 91
30.75 deg, intensity 85

Structural model:
```
CuP4Se3Cl
1.0
12.9072 0.0000 0.0000
0.0000 11.9617 0.0000
-1.1584 0.0000 6.6597
Cu P Se Cl
4 16 12 4
direct
0.0177 0.1527 0.2752
0.0177 0.3473 0.7752
0.9823 0.6527 0.2248
0.9823 0.8473 0.7248
0.1358 0.5719 0.1840
0.1358 0.9281 0.6840
0.1540 0.0519 0.4450
0.1540 0.4481 0.9450
0.2103 0.6260 0.9221
0.2103 0.8740 0.4221
0.3917 0.0239 0.7646
0.3917 0.4761 0.2646
0.6083 0.5239 0.7354
0.6083 0.9761 0.2354
0.7897 0.1260 0.5779
0.7897 0.3740 0.0779
0.8460 0.5519 0.0550
0.8460 0.9481 0.5550
0.8642 0.0719 0.3160
0.8642 0.4281 0.8160
0.2685 0.5379 0.4421
0.2685 0.9621 0.9421
0.2970 0.1554 0.5686
0.2970 0.3446 0.0686
0.3853 0.6187 0.0376
0.3853 0.8813 0.5376
0.6147 0.1187 0.4624
0.6147 0.3813 0.9624
0.7030 0.6554 0.9314
0.7030 0.8446 0.4314
0.7315 0.0379 0.0579
0.7315 0.4621 0.5579
0.0282 0.1748 0.9393
0.0282 0.3252 0.4393
0.9718 0.6748 0.5607
0.9718 0.8252 0.0607
```

***

(6)
For PaTlCu2Cl8, a DFT-relaxed cell (GGA-PBE, Alexandria) gives the computed XRD peak list in this record (Cu Kα).

The 6 most intense peaks (2θ from 5° to 70°), by angle:
19.73 deg, intensity 100
27.13 deg, intensity 34
28.92 deg, intensity 39
33.20 deg, intensity 25
35.26 deg, intensity 23
43.85 deg, intensity 36

Structural model:
```
PaTlCu2Cl8
1.0
3.0871 1.7823 11.1097
-3.0871 1.7823 11.1097
0.0000 -3.5647 11.1097
Pa Tl Cu Cl
1 1 2 8
direct
0.0000 0.0000 0.0000
0.5000 0.5000 0.5000
0.2508 0.2508 0.2508
0.7492 0.7492 0.7492
0.0525 0.3716 0.7274
0.1858 0.1858 0.1858
0.2726 0.6284 0.9475
0.3716 0.7274 0.0525
0.6284 0.9475 0.2726
0.7274 0.0525 0.3716
0.8142 0.8142 0.8142
0.9475 0.2726 0.6284
```

***

(7)
For Cu2PbCl4, a DFT-relaxed cell (GGA-PBE, Alexandria) gives the computed XRD peak list in this record (Cu Kα).

The 6 most intense peaks (2θ from 5° to 70°), by angle:
18.39 deg, intensity 100
23.71 deg, intensity 53
30.18 deg, intensity 90
33.09 deg, intensity 58
33.78 deg, intensity 41
48.01 deg, intensity 74

Structural model:
```
Cu2PbCl4
1.0
-3.7521 3.7521 3.1481
3.7521 -3.7521 3.1481
3.7521 3.7521 -3.1481
Cu Pb Cl
2 1 4
direct
0.2500 0.7500 0.5000
0.7500 0.2500 0.5000
0.0000 0.0000 0.0000
0.1714 0.3426 0.5139
0.3426 0.8286 0.1712
0.6574 0.1714 0.8288
0.8286 0.6574 0.4861
```

***

(8)
For Cu2PbCl8, a DFT-relaxed cell (GGA-PBE, Alexandria) gives the computed XRD peak list in this record (Cu Kα).

The 6 most intense peaks (2θ from 5° to 70°), by angle:
14.76 deg, intensity 93
23.29 deg, intensity 100
30.00 deg, intensity 63
36.49 deg, intensity 33
39.20 deg, intensity 48
44.23 deg, intensity 37

Structural model:
```
Cu2PbCl8
1.0
-3.4312 3.4312 6.1907
3.4312 -3.4312 6.1907
3.4312 3.4312 -6.1907
Cu Pb Cl
2 1 8
direct
0.2500 0.7500 0.5000
0.7500 0.2500 0.5000
0.0000 0.0000 0.0000
0.0393 0.5312 0.8228
0.2165 0.0393 0.5080
0.2915 0.4688 0.5080
0.4688 0.9607 0.1772
0.5312 0.7085 0.4920
0.7085 0.2165 0.1772
0.7835 0.2915 0.8228
0.9607 0.7835 0.4920
```

***

(9)
For CuPb3Cl7, a DFT-relaxed cell (GGA-PBE, Alexandria) gives the computed XRD peak list in this record (Cu Kα).

The 6 most intense peaks (2θ from 5° to 70°), by angle:
21.42 deg, intensity 83
23.31 deg, intensity 100
25.90 deg, intensity 29
32.70 deg, intensity 33
36.95 deg, intensity 55
45.19 deg, intensity 36

Structural model:
```
CuPb3Cl7
1.0
5.1987 -6.8836 0.0000
5.1987 6.8836 0.0000
0.0000 0.0000 9.1687
Cu Pb Cl
2 6 14
direct
0.0700 0.0700 0.0000
0.9300 0.9300 0.5000
0.0009 0.5703 0.7327
0.4287 0.4287 0.5000
0.4297 0.9991 0.7673
0.5703 0.0009 0.2673
0.5713 0.5713 0.0000
0.9991 0.4297 0.2327
0.0456 0.3202 0.9440
0.0673 0.9327 0.7500
0.0974 0.3425 0.5391
0.3202 0.0456 0.0560
0.3425 0.0974 0.4609
0.3482 0.6518 0.7500
0.3743 0.6257 0.2500
0.6257 0.3743 0.7500
0.6518 0.3482 0.2500
0.6575 0.9026 0.9609
0.6798 0.9544 0.5560
0.9026 0.6575 0.0391
0.9327 0.0673 0.2500
0.9544 0.6798 0.4440
```

***

(10)
For Cu2PbCl6, a DFT-relaxed cell (GGA-PBE, Alexandria) gives the computed XRD peak list in this record (Cu Kα).

The 6 most intense peaks (2θ from 5° to 70°), by angle:
10.52 deg, intensity 49
15.13 deg, intensity 100
21.40 deg, intensity 51
22.61 deg, intensity 93
26.43 deg, intensity 52
30.51 deg, intensity 68

Structural model:
```
Cu2PbCl6
1.0
7.1195 -5.3721 0.0000
7.1195 5.3721 0.0000
-2.2520 0.0000 6.7459
Cu Pb Cl
4 2 12
direct
0.1533 0.2820 0.2444
0.2820 0.1533 0.7444
0.7180 0.8467 0.2556
0.8467 0.7180 0.7556
0.3453 0.6547 0.7500
0.6547 0.3453 0.2500
0.0839 0.7349 0.9465
0.0914 0.3032 0.5426
0.2651 0.9161 0.5535
0.3032 0.0914 0.0426
0.3208 0.4496 0.3489
0.4496 0.3208 0.8489
0.5504 0.6792 0.1511
0.6792 0.5504 0.6511
0.6968 0.9086 0.9574
0.7349 0.0839 0.4465
0.9086 0.6968 0.4574
0.9161 0.2651 0.0535
```